This entry pairs a crystal structure of LiMo2P3O13 with its calculated XRD peak list. Radiation: copper Kα. Structure: the PBE+U geometry in Alexandria.

Crystal structure
Cell: 6.4997 7.6207 11.4416 Å, 76.47 86.69 79.75°
Element x y z (fractional)
Li (0.1944, 0.0640, 0.3179)
Li (0.8056, 0.9360, 0.6821)
Mo (0.2127, 0.6961, 0.5949)
Mo (0.2375, 0.6990, 0.0983)
Mo (0.7625, 0.3010, 0.9017)
Mo (0.7873, 0.3039, 0.4051)
P (0.1216, 0.9670, 0.8146)
P (0.2622, 0.2914, 0.8328)
P (0.2672, 0.4329, 0.3862)
P (0.7328, 0.5671, 0.6138)
P (0.7378, 0.7086, 0.1672)
P (0.8784, 0.0330, 0.1854)
O (0.0807, 0.2823, 0.9248)
O (0.1077, 0.3016, 0.3854)
O (0.1092, 0.9580, 0.1653)
O (0.1311, 0.8667, 0.7125)
O (0.2074, 0.8664, 0.4645)
O (0.2255, 0.6049, 0.2840)
O (0.2411, 0.4744, 0.7437)
O (0.2406, 0.8531, 0.9254)
O (0.2462, 0.1351, 0.7595)
O (0.2553, 0.4884, 0.5076)
O (0.3049, 0.4847, 0.0744)
O (0.4741, 0.2327, 0.8933)
O (0.4805, 0.3106, 0.3720)
O (0.5195, 0.6894, 0.6280)
O (0.5259, 0.7673, 0.1067)
O (0.6951, 0.5153, 0.9256)
O (0.7447, 0.5116, 0.4924)
O (0.7538, 0.8649, 0.2405)
O (0.7594, 0.1469, 0.0746)
O (0.7589, 0.5256, 0.2563)
O (0.7745, 0.3951, 0.7160)
O (0.7926, 0.1336, 0.5355)
O (0.8689, 0.1333, 0.2875)
O (0.8908, 0.0420, 0.8347)
O (0.8923, 0.6984, 0.6146)
O (0.9193, 0.7177, 0.0752)

Principal peaks in the range 2θ = 10–90°, low angle first:
two_theta, I/Imax, h k l
12.12, 26, 0 1 0
12.90, 18, 0 1 1
16.81, 68, 1 1 0
17.71, 67, 0 1 2
21.03, 26, 1 1 2
22.19, 100, 0 1 -2
23.97, 17, -1 1 2
25.97, 40, 0 2 2
27.90, 53, 2 0 0
28.51, 19, 2 1 0